1.
Starting from a cell relaxed with GGA-PBE, the X-ray powder pattern of RbEuCl3 was simulated for Cu Kα, 1.54184 Å.

Structural model:
```
data_RbEuCl3
_symmetry_space_group_name_H-M 'P m -3 m'
_symmetry_Int_Tables_number 221
_symmetry_space_group_name_Hall '-P 4 2 3'
_cell_length_a 5.656
_cell_length_b 5.656
_cell_length_c 5.656
_cell_angle_alpha 90.00
_cell_angle_beta 90.00
_cell_angle_gamma 90.00
loop_
_atom_site_label
_atom_site_type_symbol
_atom_site_fract_x
_atom_site_fract_y
_atom_site_fract_z
_atom_site_occupancy
Rb1 Rb 0.000 0.000 0.000 1
Eu1 Eu 0.500 0.500 0.500 1
Cl1 Cl 0.000 0.500 0.500 1
```

Largest 12 diffraction maxima, sorted by position, 10° ≤ 2θ ≤ 80°:
hkl, d/Å, 2θ (°), I_rel
1 0 0, 5.656, 15.67, 30
1 1 0, 3.999, 22.23, 100
2 0 0, 2.828, 31.64, 62
2 1 0, 2.529, 35.49, 16
2 1 1, 2.309, 39.01, 48
2 2 0, 2.000, 45.35, 43
3 0 0, 1.885, 48.27, 8
3 1 0, 1.789, 51.07, 22
2 2 2, 1.633, 56.35, 15
3 2 1, 1.512, 61.33, 26
4 1 1, 1.333, 70.66, 13
4 2 0, 1.265, 75.12, 19



2.
Starting from a cell relaxed with GGA-PBE, the X-ray powder pattern of ClF5 was simulated for Cu Kα, 1.54184 Å.

Structural model:
```
data_ClF5
_symmetry_space_group_name_H-M 'C m c 21'
_symmetry_Int_Tables_number 36
_cell_length_a 6.156
_cell_length_b 7.193
_cell_length_c 7.605
_cell_angle_alpha 90.00
_cell_angle_beta 90.00
_cell_angle_gamma 90.00
loop_
_symmetry_equiv_pos_as_xyz
'x,y,z'
'-x,-y,z+1/2'
'-x,y,z'
'x,-y,z+1/2'
'x+1/2,y+1/2,z'
'-x+1/2,-y+1/2,z+1/2'
'-x+1/2,y+1/2,z'
'x+1/2,-y+1/2,z+1/2'
loop_
_atom_site_label
_atom_site_type_symbol
_atom_site_fract_x
_atom_site_fract_y
_atom_site_fract_z
_atom_site_occupancy
Cl1 Cl 0.000 0.180 0.000 1
F1 F 0.000 0.030 0.181 1
F2 F 0.000 0.344 0.840 1
F3 F 0.000 0.349 0.143 1
F4 F 0.222 0.311 0.505 1
```

Largest 12 diffraction maxima, sorted by position, 10° ≤ 2θ ≤ 80°:
hkl, d/Å, 2θ (°), I_rel
1 1 1, 3.984, 22.32, 100
0 0 2, 3.802, 23.39, 29
0 2 0, 3.596, 24.76, 19
0 2 1, 3.251, 27.43, 19
2 0 0, 3.078, 29.01, 19
0 2 2, 2.613, 34.32, 25
0 2 3, 2.072, 43.69, 21
1 3 2, 1.926, 47.18, 14
3 1 1, 1.910, 47.61, 23
0 4 3, 1.467, 63.42, 10
3 3 2, 1.442, 64.62, 9
3 3 4, 1.205, 79.53, 8



3.
Starting from a cell relaxed with GGA-PBE, the X-ray powder pattern of GeClF was simulated for Cu Kα, 1.54184 Å.

Structural model:
```
data_GeClF
_symmetry_space_group_name_H-M 'P 4/n m m'
_symmetry_Int_Tables_number 129
_cell_length_a 3.765
_cell_length_b 3.765
_cell_length_c 7.283
_cell_angle_alpha 90.00
_cell_angle_beta 90.00
_cell_angle_gamma 90.00
loop_
_symmetry_equiv_pos_as_xyz
'x,y,z'
'-x,-y,-z'
'-y+1/2,x,z'
'y+1/2,-x,-z'
'-x+1/2,-y+1/2,z'
'x+1/2,y+1/2,-z'
'y,-x+1/2,z'
'-y,x+1/2,-z'
'x+1/2,-y,-z'
'-x+1/2,y,z'
'-y,-x,-z'
'y,x,z'
'-x,y+1/2,-z'
'x,-y+1/2,z'
'y+1/2,x+1/2,-z'
'-y+1/2,-x+1/2,z'
loop_
_atom_site_label
_atom_site_type_symbol
_atom_site_fract_x
_atom_site_fract_y
_atom_site_fract_z
_atom_site_occupancy
Ge1 Ge 0.250 0.250 0.197 1
Cl1 Cl 0.250 0.250 0.652 1
F1 F 0.250 0.750 0.000 1
```

Largest 12 diffraction maxima, sorted by position, 10° ≤ 2θ ≤ 80°:
hkl, d/Å, 2θ (°), I_rel
0 0 1, 7.283, 12.15, 25
0 0 2, 3.641, 24.44, 24
1 0 1, 3.345, 26.65, 50
1 1 0, 2.663, 33.66, 68
1 0 2, 2.618, 34.26, 100
1 1 2, 2.149, 42.04, 70
1 0 3, 2.040, 44.40, 18
2 0 0, 1.883, 48.34, 47
1 0 4, 1.640, 56.09, 47
2 1 2, 1.528, 60.58, 34
2 2 0, 1.331, 70.77, 14
2 1 4, 1.236, 77.15, 28



4.
Starting from a cell relaxed with GGA-PBE, the X-ray powder pattern of IrCl4F6 was simulated for Cu Kα, 1.54184 Å.

Structural model:
```
data_IrCl4F6
_symmetry_space_group_name_H-M 'P 1 21/c 1'
_symmetry_Int_Tables_number 14
_cell_length_a 5.465
_cell_length_b 11.416
_cell_length_c 7.744
_cell_angle_alpha 90.00
_cell_angle_beta 91.93
_cell_angle_gamma 90.00
loop_
_symmetry_equiv_pos_as_xyz
'x,y,z'
'-x,-y,-z'
'-x,y+1/2,-z+1/2'
'x,-y+1/2,z+1/2'
loop_
_atom_site_label
_atom_site_type_symbol
_atom_site_fract_x
_atom_site_fract_y
_atom_site_fract_z
_atom_site_occupancy
Ir1 Ir 0.000 0.000 0.000 1
Cl1 Cl 0.261 0.144 0.539 1
Cl2 Cl 0.463 0.652 0.118 1
F1 F 0.110 0.629 0.369 1
F2 F 0.131 0.570 0.704 1
F3 F 0.297 0.080 0.968 1
```

Largest 12 diffraction maxima, sorted by position, 10° ≤ 2θ ≤ 80°:
hkl, d/Å, 2θ (°), I_rel
0 1 1, 6.406, 13.82, 100
0 2 0, 5.708, 15.52, 47
1 0 0, 5.462, 16.23, 28
1 1 -1, 4.215, 21.08, 63
1 1 1, 4.100, 21.67, 73
1 2 0, 3.946, 22.53, 54
0 0 2, 3.870, 22.98, 36
0 3 1, 3.415, 26.09, 65
0 2 2, 3.205, 27.84, 28
1 2 2, 2.730, 32.80, 19
1 4 0, 2.530, 35.49, 16
0 3 3, 2.134, 42.35, 17